Record 1
Starting from a structure optimized by DFT (PBE), the XRD peak list of Re3Te7Br7 was calculated for Cu Ka.
Kinematic intensities with the Lorentz-polarization factor, no thermal factor.

Most intense lines, 2θ = 10–80°, sorted by position:
2theta  I (rel.)
10.05  76
10.96  100
26.44  17
27.89  33
28.48  18
33.10  28
41.46  21
46.46  18
47.20  16
52.39  17

Cell and atoms:
a = 13.195 Å, b = 13.195 Å, c = 13.195 Å
α = 46.86°, β = 46.86°, γ = 46.86°
Positions (direct):
Re  0.058  0.872  0.166
Re  0.128  0.834  0.942
Re  0.166  0.058  0.872
Re  0.834  0.942  0.128
Re  0.872  0.166  0.058
Re  0.942  0.128  0.834
Te  0.020  0.648  0.238
Te  0.094  0.094  0.094
Te  0.134  0.685  0.402
Te  0.238  0.020  0.648
Te  0.315  0.598  0.866
Te  0.352  0.762  0.980
Te  0.402  0.134  0.685
Te  0.598  0.866  0.315
Te  0.648  0.238  0.020
Te  0.685  0.402  0.134
Te  0.762  0.980  0.352
Te  0.866  0.315  0.598
Te  0.906  0.906  0.906
Te  0.980  0.352  0.762
Br  0.038  0.151  0.449
Br  0.151  0.449  0.038
Br  0.293  0.700  0.630
Br  0.300  0.370  0.707
Br  0.362  0.362  0.362
Br  0.370  0.707  0.300
Br  0.449  0.038  0.151
Br  0.551  0.962  0.849
Br  0.630  0.293  0.700
Br  0.638  0.638  0.638
Br  0.700  0.630  0.293
Br  0.707  0.300  0.370
Br  0.849  0.551  0.962
Br  0.962  0.849  0.551

***

Record 2
Starting from a structure optimized by DFT (PBE), the XRD peak list of TeWSe2SBr was calculated for Cu Ka.
Kinematic intensities with the Lorentz-polarization factor, no thermal factor.

Most intense lines, 2θ = 10–80°, sorted by position:
2theta  I (rel.)
12.19  78
13.08  66
13.43  100
23.67  19
27.05  13
31.77  14
33.38  26
34.58  27
37.65  18
39.73  30

Cell and atoms:
a = 6.525 Å, b = 8.196 Å, c = 8.349 Å
α = 113.09°, β = 96.83°, γ = 113.35°
Positions (direct):
Te  0.036  0.492  0.259
Te  0.964  0.508  0.741
W  0.281  0.500  0.000
W  0.719  0.500  0.000
Se  0.174  0.791  0.189
Se  0.386  0.358  0.706
Se  0.614  0.642  0.294
Se  0.826  0.209  0.811
S  0.410  0.295  0.085
S  0.590  0.705  0.915
Br  0.169  0.907  0.762
Br  0.831  0.093  0.238

***

Record 3
Starting from a structure optimized by DFT (PBE), the XRD peak list of TeWSe2SBr was calculated for Cu Ka.
Kinematic intensities with the Lorentz-polarization factor, no thermal factor.

Most intense lines, 2θ = 10–80°, sorted by position:
2theta  I (rel.)
11.37  80
13.03  79
15.06  100
25.92  19
31.34  16
33.83  27
37.42  14
38.43  20
39.24  19
42.91  15

Cell and atoms:
a = 6.497 Å, b = 7.711 Å, c = 8.084 Å
α = 74.23°, β = 83.12°, γ = 65.35°
Positions (direct):
Te  0.049  0.315  0.290
Te  0.951  0.685  0.710
W  0.219  0.500  0.000
W  0.781  0.500  0.000
Se  0.375  0.788  0.884
Se  0.473  0.479  0.245
Se  0.527  0.521  0.755
Se  0.625  0.212  0.116
S  0.116  0.308  0.858
S  0.884  0.692  0.142
Br  0.250  0.916  0.316
Br  0.750  0.084  0.684

***

Record 4
Starting from a structure optimized by DFT (PBE), the XRD peak list of TeWSe2SBr was calculated for Cu Ka.
Kinematic intensities with the Lorentz-polarization factor, no thermal factor.

Most intense lines, 2θ = 10–80°, sorted by position:
2theta  I (rel.)
12.31  47
13.47  100
24.07  20
33.32  11
33.44  10
33.97  15
35.24  17
37.53  18
40.31  18
45.09  15

Cell and atoms:
a = 6.464 Å, b = 8.059 Å, c = 8.131 Å
α = 112.09°, β = 96.03°, γ = 113.46°
Positions (direct):
Te  0.125  0.167  0.326
Te  0.875  0.833  0.674
W  0.228  0.000  0.001
W  0.772  0.000  0.999
Se  0.104  0.231  0.915
Se  0.466  0.999  0.754
Se  0.534  0.001  0.246
Se  0.896  0.769  0.085
S  0.343  0.734  0.820
S  0.657  0.266  0.180
Br  0.340  0.614  0.257
Br  0.660  0.386  0.743

***

Record 5
Starting from a structure optimized by DFT (PBE), the XRD peak list of TeWSeS2Br was calculated for Cu Ka.
Kinematic intensities with the Lorentz-polarization factor, no thermal factor.

Most intense lines, 2θ = 10–80°, sorted by position:
2theta  I (rel.)
12.74  100
12.96  80
22.30  13
22.67  23
28.45  16
34.24  14
34.52  15
40.22  20
43.16  23
47.43  13

Cell and atoms:
a = 6.309 Å, b = 8.025 Å, c = 8.301 Å
α = 117.65°, β = 106.12°, γ = 96.09°
Positions (direct):
Te  0.134  0.333  0.245
Te  0.866  0.667  0.755
W  0.229  0.000  0.000
W  0.771  0.000  0.000
Se  0.037  0.848  0.155
Se  0.963  0.152  0.845
S  0.398  0.944  0.741
S  0.476  0.779  0.017
S  0.524  0.221  0.983
S  0.602  0.056  0.259
Br  0.272  0.364  0.608
Br  0.728  0.636  0.392

***

Record 6
Starting from a structure optimized by DFT (PBE), the XRD peak list of TeWSe2SBr was calculated for Cu Ka.
Kinematic intensities with the Lorentz-polarization factor, no thermal factor.

Most intense lines, 2θ = 10–80°, sorted by position:
2theta  I (rel.)
12.66  100
12.78  30
22.15  10
26.09  12
28.18  15
34.07  10
34.21  11
35.88  12
45.22  10
46.72  11

Cell and atoms:
a = 6.376 Å, b = 8.061 Å, c = 8.428 Å
α = 116.86°, β = 106.05°, γ = 96.09°
Positions (direct):
Te  0.131  0.329  0.237
Te  0.869  0.671  0.763
W  0.227  0.000  0.000
W  0.773  0.000  0.000
Se  0.035  0.845  0.150
Se  0.391  0.936  0.724
Se  0.609  0.064  0.276
Se  0.965  0.155  0.850
S  0.475  0.780  0.013
S  0.525  0.220  0.987
Br  0.269  0.364  0.598
Br  0.731  0.636  0.402